No. 1
Calculated powder diffractogram
Compound: Li5Pm2Pd5
Radiation: a wavelength of 1.5418 Å
Structure: a structure optimized by DFT (PBE)
Neutral-atom scattering factors, no anomalous dispersion.

Structural model:
```
data_Li5Pm2Pd5
_cell_length_a 4.423
_cell_length_b 5.190
_cell_length_c 9.327
_cell_angle_alpha 90.00
_cell_angle_beta 90.00
_cell_angle_gamma 90.00
_space_group_name_H-M_alt 'P 1'
_space_group_IT_number 1
loop_
_space_group_symop_operation_xyz
'x,y,z'
loop_
_atom_site_label
_atom_site_type_symbol
_atom_site_fract_x
_atom_site_fract_y
_atom_site_fract_z
_atom_site_occupancy
Li1 Li 0.000 0.000 0.000 1
Li2 Li 0.000 0.252 0.255 1
Li3 Li 0.000 0.252 0.745 1
Li4 Li 0.000 0.748 0.255 1
Li5 Li 0.000 0.748 0.745 1
Pm1 Pm 0.500 0.000 0.500 1
Pm2 Pm 0.500 0.500 0.000 1
Pd1 Pd 0.000 0.500 0.500 1
Pd2 Pd 0.500 0.000 0.167 1
Pd3 Pd 0.500 0.000 0.833 1
Pd4 Pd 0.500 0.500 0.322 1
Pd5 Pd 0.500 0.500 0.678 1
```

Main lines, most intense first (2θ = 10–80°):
2θ (°), I/Imax
39.45, 100
20.07, 72
33.60, 41
34.57, 35
40.29, 27
40.80, 24
65.22, 22
53.85, 21
54.52, 19
73.37, 16
28.18, 15
70.64, 9

---

No. 2
Calculated powder diffractogram
Compound: TbS5Cl
Radiation: a wavelength of 1.5418 Å
Structure: a structure optimized by DFT (PBE)
Neutral-atom scattering factors, no anomalous dispersion.

Structural model:
```
data_TbS5Cl
_cell_length_a 11.867
_cell_length_b 11.867
_cell_length_c 4.173
_cell_angle_alpha 98.43
_cell_angle_beta 98.43
_cell_angle_gamma 152.11
_space_group_name_H-M_alt 'P 1'
_space_group_IT_number 1
loop_
_space_group_symop_operation_xyz
'x,y,z'
loop_
_atom_site_label
_atom_site_type_symbol
_atom_site_fract_x
_atom_site_fract_y
_atom_site_fract_z
_atom_site_occupancy
Tb1 Tb 0.000 0.000 0.000 1
S1 S 0.043 0.574 0.475 1
S2 S 0.174 0.295 0.683 1
S3 S 0.426 0.957 0.525 1
S4 S 0.705 0.826 0.317 1
S5 S 0.790 0.210 0.000 1
Cl1 Cl 0.566 0.434 0.500 1
```

Main lines, most intense first (2θ = 10–80°):
2θ (°), I/Imax
15.39, 100
24.50, 44
27.58, 39
19.93, 36
35.80, 29
21.89, 27
29.06, 24
40.47, 23
35.17, 21
22.75, 20
48.78, 20
41.54, 19

---

No. 3
Calculated powder diffractogram
Compound: Ba4InSi2
Radiation: a wavelength of 1.5418 Å
Structure: a structure optimized by DFT (PBE)
Neutral-atom scattering factors, no anomalous dispersion.

Structural model:
```
data_Ba4InSi2
_cell_length_a 6.569
_cell_length_b 6.569
_cell_length_c 23.780
_cell_angle_alpha 90.00
_cell_angle_beta 90.00
_cell_angle_gamma 142.57
_space_group_name_H-M_alt 'P 1'
_space_group_IT_number 1
loop_
_space_group_symop_operation_xyz
'x,y,z'
loop_
_atom_site_label
_atom_site_type_symbol
_atom_site_fract_x
_atom_site_fract_y
_atom_site_fract_z
_atom_site_occupancy
Ba1 Ba 0.000 0.000 0.000 1
Ba2 Ba 0.000 0.000 0.500 1
Ba3 Ba 0.267 0.733 0.626 1
Ba4 Ba 0.267 0.733 0.874 1
Ba5 Ba 0.465 0.535 0.250 1
Ba6 Ba 0.535 0.465 0.750 1
Ba7 Ba 0.733 0.267 0.126 1
Ba8 Ba 0.733 0.267 0.374 1
In1 In 0.185 0.815 0.250 1
In2 In 0.815 0.185 0.750 1
Si1 Si 0.290 0.710 0.018 1
Si2 Si 0.290 0.710 0.482 1
Si3 Si 0.710 0.290 0.518 1
Si4 Si 0.710 0.290 0.982 1
```

Main lines, most intense first (2θ = 10–80°):
2θ (°), I/Imax
20.66, 100
24.97, 79
29.21, 74
31.17, 73
30.06, 65
37.97, 42
23.51, 41
28.70, 36
53.28, 25
42.91, 25
28.95, 25
65.04, 25